This entry pairs a crystal structure of Ir6PtRh12 with its theoretical powder XRD pattern. Radiation: Cu Ka. Structure: a cell relaxed with PBE.
Intensities are scaled so that the largest is 100.

Largest 8 diffraction maxima, in order of falling intensity, 10 to 90 degrees two-theta:
2θ (°), I (rel.)
41.20, 100
43.50, 76
41.05, 26
45.71, 24
78.32, 15
30.36, 15
19.06, 13
73.49, 12

Crystal structure
```
19
Lattice="4.646 2.682 3.809 -4.646 2.682 3.809 0.000 -5.364 3.809" Properties=species:S:1:pos:R:3 pbc="T T T"
Ir -2.546 -0.666 6.047
Ir -0.696 -2.538 5.381
Ir -1.850 1.872 5.381
Ir 1.850 -1.872 6.047
Ir 0.696 2.538 6.047
Ir 2.546 0.666 5.381
Pt 0.000 0.000 5.714
Rh -4.248 0.926 4.763
Rh -2.926 -3.216 6.665
Rh -1.574 -0.235 3.526
Rh 1.322 -4.142 4.763
Rh 0.991 -1.246 3.526
Rh 0.584 1.481 3.526
Rh -0.584 -1.481 7.901
Rh -0.991 1.246 7.901
Rh -1.322 4.142 6.665
Rh 1.574 0.235 7.901
Rh 2.926 3.216 4.763
Rh 4.248 -0.926 6.665
```

This entry pairs a crystal structure of PmPa2O7 with its theoretical powder XRD pattern. Radiation: Cu Ka. Structure: a cell relaxed with PBE.
Intensities are scaled so that the largest is 100.

Largest 8 diffraction maxima, in order of falling intensity, 10 to 90 degrees two-theta:
2θ (°), I (rel.)
26.93, 100
33.01, 69
29.91, 60
46.47, 59
48.28, 48
25.23, 48
53.61, 38
26.48, 37

Crystal structure
```
10
Lattice="1.954 1.128 10.591 -1.954 1.128 10.591 0.000 -2.256 10.591" Properties=species:S:1:pos:R:3 pbc="T T T"
Pm 0.000 0.000 0.000
Pa 0.000 0.000 13.721
Pa 0.000 0.000 18.052
O 0.000 0.000 2.467
O 0.000 0.000 6.943
O 0.000 0.000 11.524
O 0.000 0.000 15.886
O 0.000 0.000 20.249
O 0.000 0.000 24.830
O 0.000 0.000 29.306
```

What is the formula in the first record? Ir6PtRh12